No. 1
Diffraction record for PrCuH8Ir2. The X-ray powder pattern is computed, not measured: it uses a crystal structure in Alexandria, relaxed with GGA-PBE and Cu Kα (λ = 1.5418 Å).
Lines closer than 0.1° are merged.

Structural model:
a b c (Å): 4.7534 4.7534 16.7072
angles (deg): 90.00 90.00 120.00
Space group R-3 (No. 148, hexagonal axes)
One atom of each set of equivalent atoms:
Pr: 0.0000 0.0000 0.0000 [3 per cell]
Cu: 0.0000 0.0000 0.5000 [3 per cell]
H: 0.0000 0.0000 0.3102 [6 per cell]
H: 0.0119 0.6529 0.7806 [18 per cell]
Ir: 0.0000 0.0000 0.2116 [6 per cell]

Main lines, by angle (2θ = 10–90°):
2θ (°), I_rel
15.9, 26
22.2, 29
30.5, 94
34.6, 66
37.9, 100
49.4, 25
52.2, 21
59.7, 23
63.6, 19
63.8, 23
66.3, 21
68.4, 18



No. 2
Diffraction record for BaLaGa. The X-ray powder pattern is computed, not measured: it uses a crystal structure in Alexandria, relaxed with GGA-PBE and Cu Kα (λ = 1.5418 Å).
Lines closer than 0.1° are merged.

Structural model:
a b c (Å): 7.0111 7.2740 8.4002
angles (deg): 90.00 90.00 90.00
Space group Pnma (No. 62)
One atom of each set of equivalent atoms:
Ba: 0.0486 0.2500 0.1580 [4 per cell]
La: 0.2424 0.7500 0.2396 [4 per cell]
Ga: 0.0000 0.0000 0.5000 [4 per cell]

Main lines, by angle (2θ = 10–90°):
2θ (°), I_rel
21.2, 16
24.5, 32
27.6, 39
29.6, 42
30.2, 100
32.6, 55
33.3, 21
34.3, 17
34.5, 27
46.8, 34
50.2, 14
57.1, 25



No. 3
Diffraction record for K2TbRhO4. The X-ray powder pattern is computed, not measured: it uses a crystal structure in Alexandria, relaxed with GGA-PBE and Cu Kα (λ = 1.5418 Å).
Lines closer than 0.1° are merged.

Structural model:
a b c (Å): 5.5976 3.3947 6.5126
angles (deg): 90.00 108.13 90.00
Space group P2/m (No. 10)
One atom of each set of equivalent atoms:
K: 0.0000 0.0000 0.0000 [1 per cell]
K: 0.5000 0.5000 0.0000 [1 per cell]
Tb: 0.0000 0.5000 0.5000 [1 per cell]
Rh: 0.5000 0.0000 0.5000 [1 per cell]
O: 0.2422 0.0000 0.6930 [2 per cell]
O: 0.2959 0.5000 0.3203 [2 per cell]

Main lines, by angle (2θ = 10–90°):
2θ (°), I_rel
14.3, 100
28.9, 39
31.3, 21
32.2, 62
33.7, 24
36.7, 74
37.1, 37
46.7, 13
50.0, 26
56.3, 27
65.2, 15
67.4, 15



No. 4
Diffraction record for LaCrCo4. The X-ray powder pattern is computed, not measured: it uses a crystal structure in Alexandria, relaxed with GGA-PBE and Cu Kα (λ = 1.5418 Å).
Lines closer than 0.1° are merged.

Structural model:
a b c (Å): 7.0933 7.0933 7.0933
angles (deg): 90.00 90.00 90.00
Space group F-43m (No. 216)
One atom of each set of equivalent atoms:
La: 0.0000 0.0000 0.0000 [4 per cell]
Cr: 0.2500 0.2500 0.7500 [4 per cell]
Co: 0.1236 0.1236 0.3764 [16 per cell]

Main lines, by angle (2θ = 10–90°):
2θ (°), I_rel
21.7, 8
25.1, 11
35.8, 42
42.3, 100
44.2, 28
56.6, 3
58.2, 4
64.3, 14
68.8, 29
75.9, 22
81.4, 2
86.8, 6



No. 5
Diffraction record for Ac2Nd2Bi3Te2. The X-ray powder pattern is computed, not measured: it uses a crystal structure in Alexandria, relaxed with GGA-PBE and Cu Kα (λ = 1.5418 Å).
Lines closer than 0.1° are merged.

Structural model:
a b c (Å): 6.3670 6.3670 16.9284
angles (deg): 90.00 90.00 90.00
Space group I4/mmm (No. 139)
One atom of each set of equivalent atoms:
Ac: 0.0000 0.0000 0.2026 [4 per cell]
Nd: 0.0000 0.5000 0.0000 [4 per cell]
Bi: 0.0000 0.0000 0.0000 [2 per cell]
Bi: 0.0000 0.5000 0.2500 [4 per cell]
Te: 0.0000 0.0000 0.4032 [4 per cell]

Main lines, by angle (2θ = 10–90°):
2θ (°), I_rel
21.0, 31
28.0, 100
29.0, 20
29.9, 56
35.3, 34
40.1, 39
41.4, 45
45.6, 17
50.8, 12
57.9, 13
59.0, 16
65.6, 19



No. 6
Diffraction record for Y3Zn4. The X-ray powder pattern is computed, not measured: it uses a crystal structure in Alexandria, relaxed with GGA-PBE and Cu Kα (λ = 1.5418 Å).
Lines closer than 0.1° are merged.

Structural model:
a b c (Å): 12.2680 3.9112 6.6779
angles (deg): 90.00 94.49 90.00
Space group C2/m (No. 12)
One atom of each set of equivalent atoms:
Y: 0.0000 0.0000 0.0000 [2 per cell]
Y: 0.2324 0.5000 0.2342 [4 per cell]
Zn: 0.0692 0.5000 0.6865 [4 per cell]
Zn: 0.0907 0.0000 0.4230 [4 per cell]

Main lines, by angle (2θ = 10–90°):
2θ (°), I_rel
27.7, 10
29.5, 13
31.6, 16
33.2, 27
33.8, 100
35.2, 20
36.6, 56
42.2, 14
43.1, 11
46.4, 26
48.2, 10
58.3, 10